# Ta2MoO6
Theoretical powder diffractogram, Cu Kα (λ = 1.5418 Å). Input: a GGA+U-relaxed structure.

Most intense lines, 2θ from 10° to 80°, by angle:
d (Å)	2θ (°)	intensity	hkl
4.712	18.8	38.1	0 0 1
4.540	19.6	10.0	1 0 0
3.269	27.3	100.0	1 0 1
2.621	34.2	58.9	1 1 0
2.356	38.2	11.5	0 0 2
2.290	39.3	35.1	2 -1 1
2.045	44.3	26.5	2 0 1
1.752	52.2	53.5	2 -1 2
1.612	57.1	25.1	3 -1 1
1.513	61.3	19.0	3 0 0
1.273	74.5	11.4	3 0 2
1.216	78.7	10.0	3 1 1

Structural model:
Cell: 5.242 5.242 4.712 Å, 90.00 90.00 120.00°
Sites, in units of the cell vectors:
Ta (0.333, 0.667, 0.000)
Ta (0.667, 0.333, 0.000)
Mo (0.000, 0.000, 0.500)
O (0.000, 0.347, 0.231)
O (0.000, 0.653, 0.769)
O (0.347, 0.000, 0.231)
O (0.347, 0.347, 0.769)
O (0.653, 0.000, 0.769)
O (0.653, 0.653, 0.231)